Computed powder diffractogram
Compound: TlVC2O6
Radiation: a wavelength of 1.5418 Å
Structure: a GGA+U-relaxed structure
Peak positions follow from Bragg's law for the DFT cell and can differ from measured ones.

The 10 most intense peaks (2θ from 10° to 80°), in order of falling intensity:
- 2θ 28.0, 3.188 Å, rel. 100.0
- 2θ 22.6, 3.937 Å, rel. 72.4
- 2θ 21.0, 4.224 Å, rel. 40.1
- 2θ 46.4, 1.956 Å, rel. 36.8
- 2θ 35.9, 2.502 Å, rel. 31.6
- 2θ 31.5, 2.843 Å, rel. 29.9
- 2θ 38.7, 2.324 Å, rel. 23.2
- 2θ 42.8, 2.112 Å, rel. 21.9
- 2θ 43.8, 2.068 Å, rel. 21.5
- 2θ 57.1, 1.614 Å, rel. 19.1

Atomic structure:
Cell lengths 6.909, 6.909, 6.909 Å; angles 42.47, 42.47, 42.47 degrees
Element x y z (fractional)
Tl (0.000, 0.000, 0.000)
V (0.500, 0.500, 0.500)
C (0.227, 0.227, 0.227)
C (0.773, 0.773, 0.773)
O (0.059, 0.693, 0.560)
O (0.307, 0.440, 0.941)
O (0.440, 0.941, 0.307)
O (0.560, 0.059, 0.693)
O (0.693, 0.560, 0.059)
O (0.941, 0.307, 0.440)